Entry 1:
Calculated PXRD pattern
Compound: U4S3
Radiation: λ = 1.5418 Å (Cu Kα)
Structure: a cell relaxed with PBE

Structure:
```
7
Lattice="5.4149 0.0000 0.0000 0.0000 5.4149 0.0000 0.0000 0.0000 5.4149" Properties=species:S:1:pos:R:3 pbc="T T T"
U 0.0000 0.0000 0.0000
U 0.0000 2.7074 2.7074
U 2.7074 0.0000 2.7074
U 2.7074 2.7074 0.0000
S 0.0000 0.0000 2.7074
S 0.0000 2.7074 0.0000
S 2.7074 0.0000 0.0000
```

Main lines, in order of rising 2θ (2θ from 10° to 90°):
d [Å]  Rel. int.
5.415  0.6
3.126  100.0
2.707  81.1
1.914  59.6
1.633  48.8
1.563  21.0
1.354  10.0
1.242  21.0
1.211  28.7
1.105  22.9

***

Entry 2:
Calculated PXRD pattern
Compound: Hf2InNi2
Radiation: λ = 1.5418 Å (Cu Kα)
Structure: a cell relaxed with PBE

Structure:
```
20
Lattice="7.1401 0.0000 0.0000 0.0000 7.1401 0.0000 0.0000 0.0000 6.5467" Properties=species:S:1:pos:R:3 pbc="T T T"
Hf 1.1380 1.1380 0.0000
Hf 1.2435 1.2435 3.2734
Hf 2.3265 4.8135 0.0000
Hf 2.4320 4.7081 3.2734
Hf 4.7081 2.4320 3.2734
Hf 4.8135 2.3265 0.0000
Hf 5.8965 5.8965 3.2734
Hf 6.0020 6.0020 0.0000
In 0.0000 3.5700 1.6367
In 0.0000 3.5700 4.9101
In 3.5700 0.0000 1.6367
In 3.5700 0.0000 4.9101
Ni 0.9015 6.2386 1.7515
Ni 0.9015 6.2386 4.7952
Ni 2.6686 2.6686 1.5219
Ni 2.6686 2.6686 5.0249
Ni 4.4715 4.4715 1.5219
Ni 4.4715 4.4715 5.0249
Ni 6.2386 0.9015 1.7515
Ni 6.2386 0.9015 4.7952
```

Main lines, in order of rising 2θ (2θ from 10° to 90°):
d [Å]  Rel. int.
3.193  28.0
2.747  13.6
2.413  39.6
2.286  100.0
2.258  49.4
1.531  16.1
1.497  16.9
1.325  18.8
1.229  13.2
1.190  12.2

***

Entry 3:
Calculated PXRD pattern
Compound: HgC2S2N2
Radiation: λ = 1.5418 Å (Cu Kα)
Structure: a cell relaxed with PBE

Structure:
```
7
Lattice="5.5326 -2.0572 0.0000 5.5326 2.0572 0.0000 -0.4883 0.0000 6.5542" Properties=species:S:1:pos:R:3 pbc="T T T"
Hg 0.0000 0.0000 0.0000
C 2.7733 0.0000 1.4675
C 7.8035 0.0000 5.0867
S 1.2511 0.0000 2.1045
S 9.3257 0.0000 4.4497
N 3.8820 0.0000 1.0567
N 6.6948 0.0000 5.4975
```

Main lines, in order of rising 2θ (2θ from 10° to 90°):
d [Å]  Rel. int.
6.554  100.0
5.517  51.4
4.384  60.0
4.074  23.8
3.855  88.2
3.361  79.8
2.742  23.2
2.730  32.1
2.581  42.5
2.480  34.4

***

Entry 4:
Calculated PXRD pattern
Compound: Ta4Pd9Rh3
Radiation: λ = 1.5418 Å (Cu Kα)
Structure: a cell relaxed with PBE

Structure:
```
16
Lattice="5.5858 0.0000 0.0000 -2.7929 4.8374 0.0000 0.0000 0.0000 9.1602" Properties=species:S:1:pos:R:3 pbc="T T T"
Ta 0.0000 0.0000 0.0000
Ta 0.0000 3.2250 2.1310
Ta 0.0000 3.2250 7.0291
Ta 2.7929 1.6125 4.5801
Pd 0.0000 1.6224 4.5801
Pd -1.3879 4.0262 4.5801
Pd 1.4057 0.8116 2.2812
Pd 1.4057 0.8116 6.8790
Pd 1.3879 4.0262 4.5801
Pd 4.1801 0.8116 2.2812
Pd 4.1801 0.8116 6.8790
Pd 2.7929 3.2143 2.2812
Pd 2.7929 3.2143 6.8790
Rh 2.7929 0.0070 0.0000
Rh 1.4026 2.4152 0.0000
Rh 4.1832 2.4152 0.0000
```

Main lines, in order of rising 2θ (2θ from 10° to 90°):
d [Å]  Rel. int.
2.419  8.2
2.339  43.6
2.290  35.4
2.139  100.0
1.896  23.5
1.460  10.3
1.396  22.5
1.291  17.6
1.192  25.9
1.169  14.1

***

Entry 5:
Calculated PXRD pattern
Compound: RbLuO2
Radiation: λ = 1.5418 Å (Cu Kα)
Structure: a cell relaxed with PBE

Structure:
```
4
Lattice="1.7094 0.9869 6.5277 -1.7094 0.9869 6.5277 0.0000 -1.9738 6.5277" Properties=species:S:1:pos:R:3 pbc="T T T"
Rb 0.0000 0.0000 0.0000
Lu 0.0000 0.0000 9.7915
O 0.0000 0.0000 4.3831
O 0.0000 0.0000 15.1999
```

Main lines, in order of rising 2θ (2θ from 10° to 90°):
d [Å]  Rel. int.
6.528  43.1
3.264  46.5
2.834  85.9
2.533  100.0
1.887  36.4
1.709  30.8
1.633  28.6
1.514  30.1
1.417  15.7
1.181  21.7

***

Entry 6:
Calculated PXRD pattern
Compound: SiCl2O
Radiation: λ = 1.5418 Å (Cu Kα)
Structure: a cell relaxed with PBE

Structure:
```
24
Lattice="6.7940 0.0000 0.0000 2.6139 8.7490 0.0000 2.4983 1.8055 11.3948" Properties=species:S:1:pos:R:3 pbc="T T T"
Si 0.8085 0.5639 3.3448
Si 0.8624 2.1079 0.7720
Si 1.8962 3.3608 3.2964
Si 10.0099 7.1937 8.0984
Si 11.0437 8.4466 10.6229
Si 11.0976 9.9907 8.0501
Cl 4.2077 5.6780 7.1884
Cl 3.5112 6.0321 0.0270
Cl 4.6494 7.7322 3.6678
Cl 3.4873 1.5917 7.1817
Cl 4.6613 3.4421 10.6863
Cl 3.8927 3.6567 3.4923
Cl 8.0135 6.8978 7.9025
Cl 7.2448 7.1124 0.7085
Cl 8.4189 8.9628 4.2131
Cl 7.2567 2.8223 7.7270
Cl 8.3950 4.5224 11.3679
Cl 7.6984 4.8766 4.2065
O 0.6148 0.7967 1.7301
O 1.4905 3.3045 1.7057
O 1.4738 1.9264 3.9765
O 10.4323 8.6281 7.4183
O 10.4157 7.2500 9.6891
O 11.2914 9.7578 9.6647
```

Main lines, in order of rising 2θ (2θ from 10° to 90°):
d [Å]  Rel. int.
7.471  13.9
6.423  76.3
3.845  47.6
3.806  100.0
3.736  14.4
3.580  18.0
3.531  19.3
3.376  13.8
2.851  15.8
2.279  15.6

***

Entry 7:
Calculated PXRD pattern
Compound: CaH12Cl2O6
Radiation: λ = 1.5418 Å (Cu Kα)
Structure: a cell relaxed with PBE

Structure:
```
21
Lattice="7.8841 0.0000 0.0000 -3.9420 6.8278 0.0000 0.0000 0.0000 4.0303" Properties=species:S:1:pos:R:3 pbc="T T T"
Ca 0.0000 0.0000 0.0000
H -0.9298 2.9779 0.4015
H -2.1209 5.2279 2.0932
H 0.4750 2.3771 2.0932
H -0.8982 6.1441 0.4015
H 1.8211 1.5999 1.9370
H 3.0439 0.6837 3.6288
H 1.8280 4.5336 0.4015
H 1.6459 6.0506 2.0932
H 3.0122 3.8499 3.6288
H 5.5880 0.7772 1.9370
H 4.4170 4.4507 1.9370
H 5.7700 2.2942 3.6288
Cl 0.0000 4.5519 1.6097
Cl 3.9420 2.2759 2.4206
O -1.2279 2.1268 0.0000
O -3.0957 5.3619 2.0151
O 0.8463 1.4659 2.0151
O 2.4558 0.0000 0.0000
O 2.7141 4.7010 0.0000
O 6.1914 0.0000 2.0151
```

Main lines, in order of rising 2θ (2θ from 10° to 90°):
d [Å]  Rel. int.
6.828  54.8
3.942  77.0
3.471  70.6
2.818  72.1
2.605  64.7
2.276  64.8
2.173  100.0
1.933  19.7
1.714  27.3
1.490  19.1

***

Entry 8:
Calculated PXRD pattern
Compound: LiCuH4O4
Radiation: λ = 1.5418 Å (Cu Kα)
Structure: a cell relaxed with PBE

Structure:
```
40
Lattice="6.2612 0.0000 0.0000 0.0000 6.6542 0.0000 0.0000 0.0000 8.4515" Properties=species:S:1:pos:R:3 pbc="T T T"
Li 0.1666 1.0359 0.0000
Li 2.9640 4.3630 4.2257
Li 3.2973 2.2912 0.0000
Li 6.0946 5.6183 4.2257
Cu 1.4069 3.2690 6.3874
Cu 1.7237 6.5961 2.1616
Cu 4.5375 0.0581 6.3874
Cu 4.8544 3.3852 2.1616
H 0.0389 1.5719 5.7538
H 0.1669 5.5078 6.8902
H 0.6349 3.1408 4.1500
H 1.5534 1.0362 4.2079
H 1.5772 4.3633 8.4336
H 2.4957 6.4679 8.3757
H 2.9637 2.1807 2.6644
H 3.0917 4.8990 1.5281
H 3.1695 1.7553 5.7538
H 3.2975 4.4735 6.8902
H 3.7655 0.1863 4.1500
H 4.6840 2.2910 4.2079
H 4.7078 5.6181 8.4336
H 5.6263 3.5135 8.3757
H 6.0943 1.1464 2.6644
H 6.2223 5.0824 1.5281
O 0.1464 1.9561 6.6403
O 0.4929 1.3040 1.9591
O 1.4930 3.3992 8.2198
O 1.5180 2.9587 4.5486
O 1.6126 6.2858 0.3228
O 1.6376 0.0720 3.9941
O 2.6377 4.6311 6.1848
O 2.9842 5.2832 2.4145
O 3.2770 1.3710 6.6403
O 3.6235 2.0231 1.9591
O 4.6236 6.5822 8.2198
O 4.6486 0.3684 4.5486
O 4.7432 3.6956 0.3228
O 4.7682 3.2551 3.9941
O 5.7683 5.3503 6.1848
O 6.1148 4.6981 2.4145
```

Main lines, in order of rising 2θ (2θ from 10° to 90°):
d [Å]  Rel. int.
4.226  18.4
4.013  100.0
3.327  11.5
3.131  9.7
2.397  11.5
2.280  23.8
2.113  10.3
2.030  11.1
1.585  9.1
1.549  11.0

***

Entry 9:
Calculated PXRD pattern
Compound: Ac3La
Radiation: λ = 1.5418 Å (Cu Kα)
Structure: a cell relaxed with PBE

Structure:
```
4
Lattice="-2.7995 2.7995 5.4784 2.7995 -2.7995 5.4784 2.7995 2.7995 -5.4784" Properties=species:S:1:pos:R:3 pbc="T T T"
Ac 0.0000 0.0000 0.0000
Ac 2.7995 0.0000 2.7392
Ac 0.0000 2.7995 2.7392
La 0.0000 0.0000 5.4784
```

Main lines, in order of rising 2θ (2θ from 10° to 90°):
d [Å]  Rel. int.
3.209  100.0
2.800  35.0
2.739  16.5
1.980  13.2
1.958  25.5
1.685  32.0
1.658  15.2
1.604  13.7
1.271  12.8
1.139  9.3